The following is a calculated powder XRD pattern of CaAcIn2. It was derived from DFT lattice parameters and positions (PBE), using Cu Kα (weighted mean of Kα1 and Kα2).
No peak broadening, texture or thermal motion is included.

Structure:
Cell lengths 5.6728, 5.6728, 5.6728 Å; angles 60.00, 60.00, 60.00 degrees
Positions (direct):
Ca 0.0000 0.0000 0.0000
Ac 0.5000 0.5000 0.5000
In 0.2500 0.2500 0.2500
In 0.7500 0.7500 0.7500

Main lines, in order of falling intensity (2θ from 10° to 90°):
- 2θ = 31.54°, I = 100.0
- 2θ = 56.17°, I = 38.3
- 2θ = 19.16°, I = 27.6
- 2θ = 45.21°, I = 18.4
- 2θ = 37.17°, I = 16.6
- 2θ = 74.85°, I = 16.3
- 2θ = 65.86°, I = 11.8
- 2θ = 49.53°, I = 7.7
- 2θ = 59.91°, I = 6.0
- 2θ = 69.29°, I = 5.9



The following is a calculated powder XRD pattern of Ta17Al12. It was derived from DFT lattice parameters and positions (PBE), using Cu Kα (weighted mean of Kα1 and Kα2).
No peak broadening, texture or thermal motion is included.

Structure:
Cell lengths 8.6446, 8.6446, 8.6446 Å; angles 109.47, 109.47, 109.47 degrees
Positions (direct):
Ta 0.0000 0.0000 0.0000
Ta 0.0000 0.0000 0.6449
Ta 0.0000 0.4069 0.6778
Ta 0.0000 0.6449 0.0000
Ta 0.0000 0.6778 0.4069
Ta 0.2709 0.5931 0.5931
Ta 0.3222 0.3222 0.7291
Ta 0.3222 0.7291 0.3222
Ta 0.3551 0.3551 0.3551
Ta 0.4069 0.0000 0.6778
Ta 0.4069 0.6778 0.0000
Ta 0.5931 0.2709 0.5931
Ta 0.5931 0.5931 0.2709
Ta 0.6449 0.0000 0.0000
Ta 0.6778 0.0000 0.4069
Ta 0.6778 0.4069 0.0000
Ta 0.7291 0.3222 0.3222
Al 0.0000 0.1865 0.3676
Al 0.0000 0.3676 0.1865
Al 0.1812 0.8135 0.8135
Al 0.1865 0.0000 0.3676
Al 0.1865 0.3676 0.0000
Al 0.3676 0.0000 0.1865
Al 0.3676 0.1865 0.0000
Al 0.6324 0.6324 0.8188
Al 0.6324 0.8188 0.6324
Al 0.8135 0.1812 0.8135
Al 0.8135 0.8135 0.1812
Al 0.8188 0.6324 0.6324

Main lines, in order of falling intensity (2θ from 10° to 90°):
- 2θ = 38.25°, I = 100.0
- 2θ = 21.81°, I = 27.7
- 2θ = 69.16°, I = 24.5
- 2θ = 44.46°, I = 11.1
- 2θ = 55.21°, I = 9.6
- 2θ = 12.54°, I = 7.5
- 2θ = 77.72°, I = 7.0
- 2θ = 35.99°, I = 6.8
- 2θ = 42.48°, I = 6.8
- 2θ = 56.86°, I = 6.6



The following is a calculated powder XRD pattern of Sm2CuO4. It was derived from DFT lattice parameters and positions (PBE), using Cu Kα (weighted mean of Kα1 and Kα2).
No peak broadening, texture or thermal motion is included.

Structure:
Cell lengths 6.6668, 6.6668, 6.6668 Å; angles 145.66, 145.66, 49.36 degrees
Positions (direct):
Sm 0.1505 0.1505 0.0000
Sm 0.8495 0.8495 0.0000
Cu 0.5000 0.5000 0.0000
O 0.0000 0.5000 0.5000
O 0.2500 0.7500 0.5000
O 0.5000 0.0000 0.5000
O 0.7500 0.2500 0.5000

Main lines, in order of falling intensity (2θ from 10° to 90°):
- 2θ = 31.74°, I = 100.0
- 2θ = 57.07°, I = 37.2
- 2θ = 32.16°, I = 34.6
- 2θ = 46.12°, I = 25.8
- 2θ = 23.77°, I = 18.3
- 2θ = 44.19°, I = 17.3
- 2θ = 56.28°, I = 15.2
- 2θ = 66.32°, I = 9.2
- 2θ = 67.27°, I = 7.8
- 2θ = 76.30°, I = 7.8



The following is a calculated powder XRD pattern of BaCa2I6. It was derived from DFT lattice parameters and positions (PBE), using Cu Kα (weighted mean of Kα1 and Kα2).
No peak broadening, texture or thermal motion is included.

Structure:
Cell lengths 8.1989, 8.5885, 14.2967 Å; angles 90.00, 123.96, 90.00 degrees
Positions (direct):
Ba 0.0000 0.1702 0.0000
Ba 0.0000 0.8298 0.5000
Ca 0.2077 0.2357 0.7270
Ca 0.2077 0.7643 0.2270
Ca 0.7094 0.2753 0.2282
Ca 0.7094 0.7247 0.7282
I 0.0791 0.0863 0.2763
I 0.0791 0.9137 0.7763
I 0.3316 0.4676 0.1544
I 0.3316 0.5324 0.6544
I 0.4511 0.0307 0.6631
I 0.4511 0.9693 0.1631
I 0.5742 0.2926 0.9735
I 0.5742 0.7074 0.4735
I 0.8415 0.2110 0.4764
I 0.8415 0.7890 0.9764
I 0.9320 0.4034 0.7818
I 0.9320 0.5966 0.2818

Main lines, in order of falling intensity (2θ from 10° to 90°):
- 2θ = 25.15°, I = 100.0
- 2θ = 25.61°, I = 53.4
- 2θ = 30.14°, I = 49.7
- 2θ = 24.06°, I = 45.7
- 2θ = 24.83°, I = 39.5
- 2θ = 34.01°, I = 33.9
- 2θ = 24.52°, I = 28.1
- 2θ = 27.76°, I = 27.6
- 2θ = 25.34°, I = 26.0
- 2θ = 43.58°, I = 24.5



The following is a calculated powder XRD pattern of Rb3Mn2Br7. It was derived from DFT lattice parameters and positions (PBE), using Cu Kα (weighted mean of Kα1 and Kα2).
No peak broadening, texture or thermal motion is included.

Structure:
Cell lengths 14.4222, 14.4222, 14.4222 Å; angles 158.39, 158.39, 30.75 degrees
Positions (direct):
Rb 0.0000 0.0000 0.0000
Rb 0.1808 0.1808 0.0000
Rb 0.8192 0.8192 0.0000
Mn 0.4001 0.4001 0.0000
Mn 0.5999 0.5999 0.0000
Br 0.0959 0.5959 0.5000
Br 0.3056 0.3056 0.0000
Br 0.4041 0.9041 0.5000
Br 0.5000 0.5000 0.0000
Br 0.5959 0.0959 0.5000
Br 0.6944 0.6944 0.0000
Br 0.9041 0.4041 0.5000

Main lines, in order of falling intensity (2θ from 10° to 90°):
- 2θ = 30.30°, I = 100.0
- 2θ = 33.13°, I = 97.7
- 2θ = 46.86°, I = 53.0
- 2θ = 26.60°, I = 40.3
- 2θ = 32.19°, I = 39.2
- 2θ = 47.55°, I = 34.3
- 2θ = 57.43°, I = 32.4
- 2θ = 58.58°, I = 26.7
- 2θ = 23.26°, I = 23.1
- 2θ = 58.31°, I = 18.2



The following is a calculated powder XRD pattern of Ce4Al16Ni4C3. It was derived from DFT lattice parameters and positions (PBE), using Cu Kα (weighted mean of Kα1 and Kα2).
No peak broadening, texture or thermal motion is included.

Structure:
Cell lengths 3.5502, 7.7534, 15.9150 Å; angles 90.00, 90.00, 90.00 degrees
Positions (direct):
Ce 0.0000 0.0000 0.0000
Ce 0.0000 0.5000 0.2199
Ce 0.5000 0.0000 0.4934
Ce 0.5000 0.5000 0.7200
Al 0.0000 0.0000 0.1925
Al 0.0000 0.1940 0.7981
Al 0.0000 0.2345 0.6096
Al 0.0000 0.3018 0.4231
Al 0.0000 0.5000 0.0271
Al 0.0000 0.6982 0.4231
Al 0.0000 0.7655 0.6096
Al 0.0000 0.8060 0.7981
Al 0.5000 0.0000 0.6914
Al 0.5000 0.2006 0.3010
Al 0.5000 0.2500 0.1109
Al 0.5000 0.3005 0.9188
Al 0.5000 0.5000 0.5316
Al 0.5000 0.6995 0.9188
Al 0.5000 0.7500 0.1109
Al 0.5000 0.7994 0.3010
Ni 0.0000 0.0000 0.3447
Ni 0.0000 0.5000 0.8740
Ni 0.5000 0.0000 0.8453
Ni 0.5000 0.5000 0.3812
C 0.0000 0.5000 0.6068
C 0.5000 0.0000 0.1157
C 0.5000 0.5000 0.1037

Main lines, in order of falling intensity (2θ from 10° to 90°):
- 2θ = 34.72°, I = 100.0
- 2θ = 32.47°, I = 89.8
- 2θ = 15.96°, I = 84.0
- 2θ = 22.94°, I = 71.5
- 2θ = 37.97°, I = 56.1
- 2θ = 35.78°, I = 48.2
- 2θ = 46.72°, I = 44.2
- 2θ = 41.24°, I = 39.7
- 2θ = 39.77°, I = 36.7
- 2θ = 38.34°, I = 30.8



The following is a calculated powder XRD pattern of Ca6Mg2ZnP6H12O30. It was derived from DFT lattice parameters and positions (PBE), using Cu Kα (weighted mean of Kα1 and Kα2).
No peak broadening, texture or thermal motion is included.

Structure:
Cell lengths 5.5309, 6.9022, 15.3011 Å; angles 86.36, 86.56, 82.84 degrees
Positions (direct):
Ca 0.0496 0.3385 0.4006
Ca 0.2830 0.3266 0.9323
Ca 0.3838 0.0064 0.7340
Ca 0.6162 0.9936 0.2660
Ca 0.7170 0.6734 0.0677
Ca 0.9504 0.6615 0.5994
Mg 0.1667 0.3334 0.1666
Mg 0.8333 0.6666 0.8334
Zn 0.5000 0.0000 0.5000
P 0.0534 0.8689 0.3871
P 0.2810 0.7974 0.9455
P 0.3859 0.5359 0.7211
P 0.6141 0.4641 0.2789
P 0.7190 0.2026 0.0545
P 0.9466 0.1311 0.6129
H 0.0666 0.6871 0.2087
H 0.1438 0.9625 0.2238
H 0.1895 0.7041 0.1093
H 0.2667 0.9795 0.1247
H 0.4013 0.3531 0.5425
H 0.4750 0.6306 0.5575
H 0.5250 0.3694 0.4425
H 0.5987 0.6469 0.4575
H 0.7333 0.0205 0.8753
H 0.8105 0.2959 0.8907
H 0.8562 0.0375 0.7762
H 0.9334 0.3129 0.7913
O 0.0156 0.8246 0.2903
O 0.0537 0.6822 0.9438
O 0.0794 0.6807 0.4463
O 0.0812 0.6257 0.1504
O 0.1522 0.6790 0.7471
O 0.1769 0.9835 0.5876
O 0.2520 0.0408 0.1828
O 0.2542 0.9870 0.8871
O 0.2813 0.9843 0.3868
O 0.3168 0.8401 0.0427
O 0.3504 0.4939 0.6236
O 0.3869 0.3489 0.2772
O 0.4124 0.2940 0.4837
O 0.4127 0.3461 0.7793
O 0.4855 0.3461 0.0805
O 0.5145 0.6540 0.9195
O 0.5873 0.6539 0.2207
O 0.5876 0.7060 0.5163
O 0.6131 0.6511 0.7228
O 0.6496 0.5061 0.3764
O 0.6832 0.1599 0.9573
O 0.7187 0.0157 0.6132
O 0.7458 0.0130 0.1129
O 0.7480 0.9592 0.8172
O 0.8231 0.0165 0.4124
O 0.8478 0.3210 0.2529
O 0.9188 0.3743 0.8496
O 0.9206 0.3193 0.5537
O 0.9463 0.3178 0.0562
O 0.9844 0.1754 0.7097

Main lines, in order of falling intensity (2θ from 10° to 90°):
- 2θ = 29.22°, I = 100.0
- 2θ = 32.88°, I = 93.5
- 2θ = 27.05°, I = 30.0
- 2θ = 54.26°, I = 29.3
- 2θ = 32.25°, I = 29.3
- 2θ = 27.99°, I = 28.9
- 2θ = 32.51°, I = 28.0
- 2θ = 39.54°, I = 23.4
- 2θ = 13.89°, I = 21.7
- 2θ = 39.16°, I = 16.1



The following is a calculated powder XRD pattern of TbNi2P2. It was derived from DFT lattice parameters and positions (PBE), using Cu Kα (weighted mean of Kα1 and Kα2).
No peak broadening, texture or thermal motion is included.

Structure:
Cell lengths 5.4416, 5.4416, 5.4416 Å; angles 138.23, 138.23, 60.55 degrees
Positions (direct):
Tb 0.0000 0.0000 0.0000
Ni 0.2500 0.7500 0.5000
Ni 0.7500 0.2500 0.5000
P 0.3767 0.3767 0.0000
P 0.6233 0.6233 0.0000

Main lines, in order of falling intensity (2θ from 10° to 90°):
- 2θ = 37.98°, I = 100.0
- 2θ = 36.88°, I = 51.4
- 2θ = 24.83°, I = 44.7
- 2θ = 46.83°, I = 39.2
- 2θ = 61.05°, I = 23.3
- 2θ = 80.99°, I = 20.8
- 2θ = 54.22°, I = 17.2
- 2θ = 69.04°, I = 15.8
- 2θ = 38.31°, I = 15.1
- 2θ = 62.04°, I = 14.3



What is the formula in the eighth record? TbNi2P2